1.
Starting from DFT lattice parameters and positions (PBE), the powder diffractogram of SrNi6C was simulated for Cu Kα (weighted mean of Kα1 and Kα2).
Intensities are scaled so that the largest is 100.

Principal peaks in the range 2θ = 10–90°, by angle:
2theta	Rel. int.
33.73	33
39.83	100
41.58	10
41.69	26
53.13	20
54.63	20
64.49	14
71.08	16
84.71	10
85.88	8

Structural model:
Lattice parameters (Å, degrees): 5.3049 5.3049 13.0330 90.00 90.00 120.00
Space group R-3m (No. 166, hexagonal axes)
One atom of each set of equivalent atoms:
Sr: 0.0000 0.0000 0.0000 [3 per cell]
Ni: 0.0188 0.5094 0.9084 [18 per cell]
C: 0.0000 0.0000 0.5000 [3 per cell]

=====

2.
Starting from DFT lattice parameters and positions (PBE), the powder diffractogram of Cd4Au was simulated for Cu Kα (weighted mean of Kα1 and Kα2).
Intensities are scaled so that the largest is 100.

Principal peaks in the range 2θ = 10–90°, by angle:
2theta	Rel. int.
31.90	76
34.95	56
36.41	100
36.88	60
38.79	41
39.19	51
48.00	31
50.32	24
67.05	28
67.65	20

Structural model:
Lattice parameters (Å, degrees): 9.999 5.997 8.442 90.00 119.63 90.00
Space group C2/m (No. 12)
One atom of each set of equivalent atoms:
Cd: 0.081 0.249 0.384 [8 per cell]
Cd: 0.214 0.500 0.850 [4 per cell]
Cd: 0.225 0.000 0.751 [4 per cell]
Au: 0.000 0.247 0.000 [4 per cell]

=====

3.
Starting from DFT lattice parameters and positions (PBE), the powder diffractogram of LaEr14Pu was simulated for Cu Kα (weighted mean of Kα1 and Kα2).
Intensities are scaled so that the largest is 100.

Principal peaks in the range 2θ = 10–90°, by angle:
2theta	Rel. int.
31.18	100
36.11	34
36.24	17
52.06	36
61.88	29
62.05	14
65.02	12
85.01	6
85.16	12
87.79	11

Structural model:
Lattice parameters (Å, degrees): 7.035 7.035 9.915 90.00 90.00 90.00
Space group P4/mmm (No. 123)
One atom of each set of equivalent atoms:
La: 0.000 0.000 0.000 [1 per cell]
Er: 0.000 0.000 0.500 [1 per cell]
Er: 0.000 0.500 0.000 [2 per cell]
Er: 0.000 0.500 0.500 [2 per cell]
Er: 0.253 0.253 0.251 [8 per cell]
Er: 0.500 0.500 0.500 [1 per cell]
Pu: 0.500 0.500 0.000 [1 per cell]

=====

4.
Starting from DFT lattice parameters and positions (PBE), the powder diffractogram of CrCdMo2 was simulated for Cu Kα (weighted mean of Kα1 and Kα2).
Intensities are scaled so that the largest is 100.

Principal peaks in the range 2θ = 10–90°, by angle:
2theta	Rel. int.
29.95	5
36.29	8
40.38	100
58.31	6
58.49	9
59.45	3
73.34	10
73.45	18
74.35	3
87.24	6

Structural model:
Lattice parameters (Å, degrees): 3.165 4.465 8.924 90.00 90.00 90.00
Space group Immm (No. 71)
One atom of each set of equivalent atoms:
Cr: 0.000 0.000 0.000 [2 per cell]
Cd: 0.000 0.000 0.500 [2 per cell]
Mo: 0.000 0.500 0.274 [4 per cell]

=====

5.
Starting from DFT lattice parameters and positions (PBE), the powder diffractogram of PuSc5Ru6 was simulated for Cu Kα (weighted mean of Kα1 and Kα2).
Intensities are scaled so that the largest is 100.

Principal peaks in the range 2θ = 10–90°, by angle:
2theta	Rel. int.
12.91	8
13.69	8
18.86	6
20.51	6
24.74	7
39.43	100
56.99	16
71.47	22
71.58	11
84.83	9

Structural model:
Lattice parameters (Å, degrees): 4.564 13.717 6.470 90.00 90.00 90.00
Space group Cmmm (No. 65)
One atom of each set of equivalent atoms:
Pu: 0.000 0.000 0.000 [2 per cell]
Sc: 0.000 0.000 0.500 [2 per cell]
Sc: 0.000 0.328 0.000 [4 per cell]
Sc: 0.000 0.332 0.500 [4 per cell]
Ru: 0.000 0.163 0.246 [8 per cell]
Ru: 0.000 0.500 0.243 [4 per cell]

=====

6.
Starting from DFT lattice parameters and positions (PBE), the powder diffractogram of K3LaU3Se8 was simulated for Cu Kα (weighted mean of Kα1 and Kα2).
Intensities are scaled so that the largest is 100.

Principal peaks in the range 2θ = 10–90°, by angle:
2theta	Rel. int.
11.39	87
24.48	25
28.68	100
36.38	26
39.44	36
42.54	36
44.18	20
52.11	19
69.44	19
75.79	20

Structural model:
Lattice parameters (Å, degrees): 8.5012 8.5012 23.3149 90.00 90.00 120.00
Space group R-3m (No. 166, hexagonal axes)
One atom of each set of equivalent atoms:
K: 0.0000 0.5000 0.0000 [9 per cell]
La: 0.0000 0.0000 0.5000 [3 per cell]
U: 0.0000 0.5000 0.5000 [9 per cell]
Se: 0.0000 0.0000 0.2352 [6 per cell]
Se: 0.0129 0.5065 0.7647 [18 per cell]